K2MoPt: theoretical powder diffractogram (Cu Kα (weighted mean of Kα1 and Kα2)), based on a structure optimized by DFT (PBE).

Cell and atoms:
```
data_K2MoPt
_space_group_name_H-M_alt 'C 1 m 1'
_space_group_IT_number 8
_space_group_name_Hall 'C -2y'
_cell_length_a 7.3623
_cell_length_b 4.2535
_cell_length_c 9.8370
_cell_angle_alpha 90.00
_cell_angle_beta 104.75
_cell_angle_gamma 90.00
loop_
_atom_site_label
_atom_site_type_symbol
_atom_site_fract_x
_atom_site_fract_y
_atom_site_fract_z
K1 K 0.0000 0.0000 0.0000
K2 K 0.1865 0.0000 0.5480
Mo1 Mo 0.4307 0.0000 0.2856
Pt1 Pt 0.2532 0.5000 0.2532
```

Main lines, by angle (10° ≤ 2θ ≤ 90°):
hkl  2theta  I/Imax
0 0 2  18.65  57
1 1 0  24.37  28
2 0 0  24.97  32
1 1 1  27.25  100
0 0 3  28.14  50
1 1 -2  28.81  38
1 1 2  32.81  47
0 2 0  42.52  72
3 1 -2  43.62  72
0 2 3  51.71  36

Li8Mg5Zn: theoretical powder diffractogram (Cu Kα (weighted mean of Kα1 and Kα2)), based on a structure optimized by DFT (PBE).

Cell and atoms:
```
data_Li8Mg5Zn
_space_group_name_H-M_alt 'C 1 2/m 1'
_space_group_IT_number 12
_space_group_name_Hall '-C 2y'
_cell_length_a 14.9314
_cell_length_b 4.7151
_cell_length_c 10.0894
_cell_angle_alpha 90.00
_cell_angle_beta 129.90
_cell_angle_gamma 90.00
loop_
_atom_site_label
_atom_site_type_symbol
_atom_site_fract_x
_atom_site_fract_y
_atom_site_fract_z
Li1 Li 0.0684 0.0000 0.2935
Li2 Li 0.0690 0.5000 0.7878
Li3 Li 0.1393 0.0000 0.0753
Li4 Li 0.2153 0.5000 0.3626
Mg1 Mg 0.0000 0.5000 0.0000
Mg2 Mg 0.1360 0.5000 0.5713
Mg3 Mg 0.2124 0.0000 0.8532
Zn1 Zn 0.0000 0.0000 0.5000
```

Main lines, by angle (10° ≤ 2θ ≤ 90°):
hkl  2theta  I/Imax
0 0 1  11.43  40
2 0 -1  11.95  100
2 0 -2  17.60  54
1 1 -1  20.80  36
3 1 -1  26.26  35
3 1 -2  27.28  29
5 1 -3  36.92  82
3 1 1  37.48  79
0 2 0  38.17  53
2 0 -4  38.38  37

Li2Sn2Hg5: theoretical powder diffractogram (Cu Kα (weighted mean of Kα1 and Kα2)), based on a structure optimized by DFT (PBE).

Cell and atoms:
```
data_Li2Sn2Hg5
_space_group_name_H-M_alt 'P 1 21/c 1'
_space_group_IT_number 14
_space_group_name_Hall '-P 2ybc'
_cell_length_a 7.1788
_cell_length_b 8.4051
_cell_length_c 7.1245
_cell_angle_alpha 90.00
_cell_angle_beta 98.79
_cell_angle_gamma 90.00
loop_
_atom_site_label
_atom_site_type_symbol
_atom_site_fract_x
_atom_site_fract_y
_atom_site_fract_z
Li1 Li 0.0749 0.1637 0.1345
Sn1 Sn 0.4059 0.1615 0.4794
Hg1 Hg 0.0000 0.0000 0.5000
Hg2 Hg 0.2183 0.6622 0.7043
Hg3 Hg 0.3088 0.5006 0.3551
```

Main lines, by angle (10° ≤ 2θ ≤ 90°):
hkl  2theta  I/Imax
1 1 0  16.35  21
1 1 -1  19.46  20
0 2 1  24.67  19
1 1 -2  28.59  29
2 1 1  31.77  55
2 0 -2  33.00  51
1 3 -1  36.07  100
1 2 2  37.00  41
0 1 3  39.88  38
1 4 2  53.35  22

TbHf2S6: theoretical powder diffractogram (Cu Kα (weighted mean of Kα1 and Kα2)), based on a structure optimized by DFT (PBE).

Cell and atoms:
```
data_TbHf2S6
_space_group_name_H-M_alt 'C 1 2/m 1'
_space_group_IT_number 12
_space_group_name_Hall '-C 2y'
_cell_length_a 12.4788
_cell_length_b 5.0283
_cell_length_c 8.7316
_cell_angle_alpha 90.00
_cell_angle_beta 127.64
_cell_angle_gamma 90.00
loop_
_atom_site_label
_atom_site_type_symbol
_atom_site_fract_x
_atom_site_fract_y
_atom_site_fract_z
Tb1 Tb 0.0000 0.0000 0.0000
Hf1 Hf 0.1728 0.0000 0.5866
S1 S 0.0551 0.0000 0.7323
S2 S 0.1226 0.5000 0.0629
S3 S 0.2283 0.5000 0.6079
```

Main lines, by angle (10° ≤ 2θ ≤ 90°):
hkl  2theta  I/Imax
2 0 -1  14.32  37
1 1 0  19.81  98
2 0 -2  20.45  78
2 0 1  27.88  100
3 1 -1  28.08  55
4 0 -3  33.23  42
0 2 0  35.71  52
3 1 1  40.99  45
5 1 -3  41.96  44
4 2 -3  49.57  39

Ag2SnGeSe4: theoretical powder diffractogram (Cu Kα (weighted mean of Kα1 and Kα2)), based on a structure optimized by DFT (PBE).

Cell and atoms:
```
data_Ag2SnGeSe4
_space_group_name_H-M_alt 'P m n 21'
_space_group_IT_number 31
_space_group_name_Hall 'P 2ac -2'
_cell_length_a 9.6301
_cell_length_b 6.9467
_cell_length_c 6.6281
_cell_angle_alpha 90.00
_cell_angle_beta 90.00
_cell_angle_gamma 90.00
loop_
_atom_site_label
_atom_site_type_symbol
_atom_site_fract_x
_atom_site_fract_y
_atom_site_fract_z
Ag1 Ag 0.2494 0.1953 0.0000
Sn1 Sn 0.0000 0.7130 0.9656
Ge1 Ge 0.0000 0.3334 0.4995
Se1 Se 0.0000 0.3267 0.8694
Se2 Se 0.0000 0.6659 0.3877
Se3 Se 0.2135 0.1843 0.4000
```

Main lines, by angle (10° ≤ 2θ ≤ 90°):
hkl  2theta  I/Imax
2 1 0  22.47  69
0 2 0  25.65  85
2 1 1  26.23  69
0 0 2  26.90  100
4 0 0  37.35  55
0 2 2  37.51  41
2 3 0  43.36  64
4 0 2  46.63  37
2 1 3  47.11  67
2 3 2  51.77  46

SmErIn4: theoretical powder diffractogram (Cu Kα (weighted mean of Kα1 and Kα2)), based on a structure optimized by DFT (PBE).

Cell and atoms:
```
data_SmErIn4
_space_group_name_H-M_alt 'P b a m'
_space_group_IT_number 55
_space_group_name_Hall '-P 2 2ab'
_cell_length_a 10.4584
_cell_length_b 18.1030
_cell_length_c 3.4467
_cell_angle_alpha 90.00
_cell_angle_beta 90.00
_cell_angle_gamma 90.00
loop_
_atom_site_label
_atom_site_type_symbol
_atom_site_fract_x
_atom_site_fract_y
_atom_site_fract_z
Sm1 Sm 0.0778 0.1338 0.0000
Er1 Er 0.1175 0.4268 0.0000
In1 In 0.0209 0.2875 0.5000
In2 In 0.1309 0.9725 0.5000
In3 In 0.1551 0.5827 0.5000
In4 In 0.1995 0.8098 0.5000
```

Main lines, by angle (10° ≤ 2θ ≤ 90°):
hkl  2theta  I/Imax
1 6 0  30.84  24
1 3 1  31.08  40
2 1 1  31.48  43
0 4 1  32.66  25
1 4 1  33.79  36
2 3 1  34.53  69
4 1 0  34.66  23
1 7 0  35.76  100
3 5 1  44.64  24
1 7 2  65.72  33

Nd8ZnGe3I4: theoretical powder diffractogram (Cu Kα (weighted mean of Kα1 and Kα2)), based on a structure optimized by DFT (PBE).

Cell and atoms:
```
data_Nd8ZnGe3I4
_space_group_name_H-M_alt 'R -3 m'
_space_group_IT_number 166
_space_group_name_Hall '-R 3 2"'
_cell_length_a 8.7351
_cell_length_b 8.7351
_cell_length_c 22.8075
_cell_angle_alpha 90.00
_cell_angle_beta 90.00
_cell_angle_gamma 120.00
loop_
_atom_site_label
_atom_site_type_symbol
_atom_site_fract_x
_atom_site_fract_y
_atom_site_fract_z
Nd1 Nd 0.0000 0.0000 0.2338
Nd2 Nd 0.0005 0.5003 0.7649
Zn1 Zn 0.0000 0.0000 0.5000
Ge1 Ge 0.0000 0.5000 0.5000
I1 I 0.0000 0.0000 0.0000
I2 I 0.0000 0.5000 0.0000
```

Main lines, by angle (10° ≤ 2θ ≤ 90°):
hkl  2theta  I/Imax
0 2 4  28.31  100
2 0 5  30.71  12
2 0 8  39.59  31
2 2 0  41.34  39
4 0 4  50.87  20
2 2 9  55.55  10
0 4 8  58.57  10
2 2 12  65.06  9
2 4 4  67.55  17
4 2 8  74.21  10

TbNd7Ho2: theoretical powder diffractogram (Cu Kα (weighted mean of Kα1 and Kα2)), based on a structure optimized by DFT (PBE).

Cell and atoms:
```
data_TbNd7Ho2
_space_group_name_H-M_alt 'C m m m'
_space_group_IT_number 65
_space_group_name_Hall '-C 2 2'
_cell_length_a 8.8912
_cell_length_b 16.4624
_cell_length_c 5.6779
_cell_angle_alpha 90.00
_cell_angle_beta 90.00
_cell_angle_gamma 90.00
loop_
_atom_site_label
_atom_site_type_symbol
_atom_site_fract_x
_atom_site_fract_y
_atom_site_fract_z
Tb1 Tb 0.0000 0.0000 0.0000
Nd1 Nd 0.0000 0.2206 0.0000
Nd2 Nd 0.0000 0.5000 0.5000
Nd3 Nd 0.1792 0.1136 0.5000
Ho1 Ho 0.0000 0.2951 0.5000
```

Main lines, by angle (10° ≤ 2θ ≤ 90°):
hkl  2theta  I/Imax
0 0 1  15.61  48
2 0 0  19.97  23
0 4 1  26.75  31
2 4 0  29.58  57
0 0 2  31.51  54
1 5 1  33.02  100
3 1 1  34.57  57
2 4 2  43.76  40
5 5 1  61.47  23
3 9 1  61.80  26

Which formula does entry 3 have?
Li2Sn2Hg5

What did the first record say?
K2MoPt: theoretical powder diffractogram (Cu Kα (weighted mean of Kα1 and Kα2)), based on a structure optimized by DFT (PBE).

Cell and atoms:
```
data_K2MoPt
_space_group_name_H-M_alt 'C 1 m 1'
_space_group_IT_number 8
_space_group_name_Hall 'C -2y'
_cell_length_a 7.3623
_cell_length_b 4.2535
_cell_length_c 9.8370
_cell_angle_alpha 90.00
_cell_angle_beta 104.75
_cell_angle_gamma 90.00
loop_
_atom_site_label
_atom_site_type_symbol
_atom_site_fract_x
_atom_site_fract_y
_atom_site_fract_z
K1 K 0.0000 0.0000 0.0000
K2 K 0.1865 0.0000 0.5480
Mo1 Mo 0.4307 0.0000 0.2856
Pt1 Pt 0.2532 0.5000 0.2532
```

Main lines, by angle (10° ≤ 2θ ≤ 90°):
hkl  2theta  I/Imax
0 0 2  18.65  57
1 1 0  24.37  28
2 0 0  24.97  32
1 1 1  27.25  100
0 0 3  28.14  50
1 1 -2  28.81  38
1 1 2  32.81  47
0 2 0  42.52  72
3 1 -2  43.62  72
0 2 3  51.71  36